Diffraction record for MgPd4Au4. The X-ray diffraction stick pattern is computed, not measured: it uses a DFT-relaxed cell (GGA-PBE, Alexandria) and CuKα.

Structural model:
Unit cell a=6.373 b=6.373 c=6.373 alpha=95.96 beta=95.96 gamma=142.41
Fractional coordinates of all 9 atoms:
Mg 0.000 0.000 0.000
Pd 0.000 0.334 0.334
Pd 0.000 0.666 0.666
Pd 0.334 0.000 0.334
Pd 0.666 0.000 0.666
Au 0.333 0.333 0.667
Au 0.333 0.667 0.000
Au 0.667 0.333 0.000
Au 0.667 0.667 0.333

Top 12 peaks for 5 to 70 degrees two-theta, sorted by position:
- 4.266 Å, intensity 10
- 3.700 Å, intensity 14
- 2.698 Å, intensity 7
- 2.338 Å, intensity 100
- 2.133 Å, intensity 2
- 2.053 Å, intensity 23
- 2.011 Å, intensity 32
- 1.850 Å, intensity 2
- 1.634 Å, intensity 3
- 1.576 Å, intensity 4
- 1.437 Å, intensity 22
- 1.422 Å, intensity 10



Diffraction record for Cs2CrAuSe4. The X-ray diffraction stick pattern is computed, not measured: it uses a DFT-relaxed cell (GGA-PBE, Alexandria) and CuKα.

Structural model:
Unit cell a=14.414 b=12.745 c=7.956 alpha=84.92 beta=61.73 gamma=33.35
Fractional coordinates of all 16 atoms:
Cs 0.054 0.054 0.696
Cs 0.304 0.304 0.946
Cs 0.696 0.696 0.054
Cs 0.946 0.946 0.304
Cr 0.375 0.375 0.375
Cr 0.625 0.625 0.625
Au 0.125 0.125 0.125
Au 0.875 0.875 0.875
Se 0.017 0.623 0.548
Se 0.313 0.548 0.623
Se 0.377 0.983 0.687
Se 0.452 0.687 0.983
Se 0.548 0.313 0.017
Se 0.623 0.017 0.313
Se 0.687 0.452 0.377
Se 0.983 0.377 0.452

Top 12 peaks for 5 to 70 degrees two-theta, sorted by position:
- 6.334 Å, intensity 47
- 6.194 Å, intensity 43
- 3.756 Å, intensity 57
- 3.691 Å, intensity 31
- 3.602 Å, intensity 67
- 3.452 Å, intensity 46
- 3.015 Å, intensity 100
- 2.776 Å, intensity 31
- 2.425 Å, intensity 50
- 2.111 Å, intensity 34
- 2.026 Å, intensity 23
- 1.900 Å, intensity 37



Diffraction record for Rb2Sn3Te5. The X-ray diffraction stick pattern is computed, not measured: it uses a DFT-relaxed cell (GGA-PBE, Alexandria) and CuKα.

Structural model:
Unit cell a=8.966 b=8.966 c=12.032 alpha=120.29 beta=120.29 gamma=29.79
Fractional coordinates of all 10 atoms:
Rb 0.175 0.175 0.250
Rb 0.825 0.825 0.750
Sn 0.000 0.000 0.500
Sn 0.436 0.436 0.182
Sn 0.564 0.564 0.818
Te 0.164 0.164 0.799
Te 0.402 0.402 0.566
Te 0.500 0.500 0.000
Te 0.598 0.598 0.434
Te 0.836 0.836 0.201

Top 12 peaks for 5 to 70 degrees two-theta, sorted by position:
- 7.391 Å, intensity 28
- 3.454 Å, intensity 43
- 3.429 Å, intensity 100
- 3.366 Å, intensity 23
- 2.906 Å, intensity 20
- 2.638 Å, intensity 22
- 2.568 Å, intensity 25
- 2.488 Å, intensity 18
- 2.304 Å, intensity 29
- 2.120 Å, intensity 27
- 1.918 Å, intensity 23
- 1.715 Å, intensity 18



Diffraction record for MnFe6B6. The X-ray diffraction stick pattern is computed, not measured: it uses a DFT-relaxed cell (GGA-PBE, Alexandria) and CuKα.

Structural model:
Unit cell a=5.466 b=5.466 c=5.466 alpha=135.35 beta=98.48 gamma=98.12
Fractional coordinates of all 13 atoms:
Mn 0.000 0.000 0.000
Fe 0.179 0.500 0.679
Fe 0.341 0.000 0.341
Fe 0.341 0.341 0.000
Fe 0.659 0.000 0.659
Fe 0.659 0.659 0.000
Fe 0.821 0.500 0.321
B 0.000 0.000 0.500
B 0.000 0.500 0.000
B 0.234 0.734 0.500
B 0.500 0.000 0.000
B 0.500 0.500 0.500
B 0.766 0.266 0.500

Top 12 peaks for 5 to 70 degrees two-theta, sorted by position:
- 3.582 Å, intensity 62
- 2.535 Å, intensity 22
- 2.528 Å, intensity 12
- 2.264 Å, intensity 21
- 2.076 Å, intensity 52
- 2.070 Å, intensity 21
- 2.064 Å, intensity 100
- 1.796 Å, intensity 31
- 1.790 Å, intensity 97
- 1.604 Å, intensity 26
- 1.530 Å, intensity 11
- 1.353 Å, intensity 12



Diffraction record for Sc7Bi2Sb2. The X-ray diffraction stick pattern is computed, not measured: it uses a DFT-relaxed cell (GGA-PBE, Alexandria) and CuKα.

Structural model:
Unit cell a=6.864 b=6.864 c=6.523 alpha=90.00 beta=90.00 gamma=97.90
Fractional coordinates of all 11 atoms:
Sc 0.000 0.000 0.000
Sc 0.000 0.500 0.265
Sc 0.000 0.500 0.735
Sc 0.500 0.000 0.265
Sc 0.500 0.000 0.735
Sc 0.500 0.500 0.262
Sc 0.500 0.500 0.738
Bi 0.197 0.197 0.500
Bi 0.803 0.803 0.500
Sb 0.275 0.725 0.000
Sb 0.725 0.275 0.000

Top 12 peaks for 5 to 70 degrees two-theta, sorted by position:
- 4.055 Å, intensity 100
- 3.708 Å, intensity 92
- 3.261 Å, intensity 16
- 2.886 Å, intensity 23
- 2.639 Å, intensity 26
- 2.588 Å, intensity 39
- 2.353 Å, intensity 85
- 2.292 Å, intensity 19
- 2.141 Å, intensity 28
- 2.122 Å, intensity 35
- 2.005 Å, intensity 18
- 1.561 Å, intensity 22



Diffraction record for CdRe2Mo. The X-ray diffraction stick pattern is computed, not measured: it uses a DFT-relaxed cell (GGA-PBE, Alexandria) and CuKα.

Structural model:
Unit cell a=2.821 b=4.067 c=5.748 alpha=90.00 beta=90.00 gamma=90.00
Fractional coordinates of all 4 atoms:
Cd 0.000 0.000 0.000
Re 0.000 0.000 0.506
Re 0.500 0.500 0.713
Mo 0.500 0.500 0.280

Top 12 peaks for 5 to 70 degrees two-theta, sorted by position:
- 5.748 Å, intensity 34
- 2.347 Å, intensity 95
- 2.318 Å, intensity 100
- 2.150 Å, intensity 12
- 2.034 Å, intensity 34
- 2.013 Å, intensity 60
- 1.917 Å, intensity 5
- 1.733 Å, intensity 8
- 1.585 Å, intensity 7
- 1.437 Å, intensity 8
- 1.431 Å, intensity 39
- 1.411 Å, intensity 10



Diffraction record for Tm4In3. The X-ray diffraction stick pattern is computed, not measured: it uses a DFT-relaxed cell (GGA-PBE, Alexandria) and CuKα.

Structural model:
Unit cell a=9.914 b=9.914 c=9.914 alpha=29.71 beta=29.71 gamma=29.71
Fractional coordinates of all 7 atoms:
Tm 0.122 0.122 0.122
Tm 0.294 0.294 0.294
Tm 0.706 0.706 0.706
Tm 0.878 0.878 0.878
In 0.401 0.401 0.401
In 0.500 0.500 0.500
In 0.599 0.599 0.599

Top 12 peaks for 5 to 70 degrees two-theta, sorted by position:
- 3.742 Å, intensity 17
- 3.480 Å, intensity 49
- 2.984 Å, intensity 34
- 2.764 Å, intensity 11
- 2.542 Å, intensity 100
- 2.387 Å, intensity 42
- 2.228 Å, intensity 15
- 2.052 Å, intensity 12
- 1.740 Å, intensity 16
- 1.732 Å, intensity 13
- 1.467 Å, intensity 18
- 1.436 Å, intensity 17